# 1
For LaMgFeO3, a structure optimized by DFT (PBE+U) gives the computed powder XRD pattern in this record (CuKα).
Neutral-atom scattering factors, no anomalous dispersion.

Top 10 peaks for 2θ from 15° to 90°, low angle first:
| Position (°2θ) | I (rel.) |
| --- | --- |
| 22.7 | 23 |
| 26.6 | 100 |
| 27.5 | 74 |
| 32.3 | 54 |
| 35.2 | 21 |
| 42.9 | 49 |
| 46.3 | 33 |
| 48.1 | 20 |
| 54.2 | 28 |
| 54.7 | 39 |

Crystal structure
a = 3.922 Å, b = 3.922 Å, c = 6.476 Å
α = 90.00°, β = 90.00°, γ = 90.00°
Positions (direct):
La 0.000 0.000 0.000
Mg 0.000 0.000 0.500
Fe 0.500 0.500 0.500
O 0.000 0.500 0.500
O 0.500 0.000 0.500
O 0.500 0.500 0.000

=====

# 2
For La2MgFeO6, a structure optimized by DFT (PBE+U) gives the computed powder XRD pattern in this record (CuKα).
Neutral-atom scattering factors, no anomalous dispersion.

Top 10 peaks for 2θ from 15° to 90°, low angle first:
| Position (°2θ) | I (rel.) |
| --- | --- |
| 21.9 | 59 |
| 22.8 | 99 |
| 31.3 | 100 |
| 31.6 | 98 |
| 32.0 | 90 |
| 32.1 | 82 |
| 32.4 | 93 |
| 32.8 | 86 |
| 44.8 | 57 |
| 46.5 | 57 |

Crystal structure
a = 5.531 Å, b = 5.714 Å, c = 7.815 Å
α = 91.30°, β = 90.25°, γ = 92.21°
Positions (direct):
La 0.001 0.493 0.251
La 0.499 0.007 0.248
La 0.501 0.993 0.752
La 0.999 0.507 0.749
Mg 0.000 0.000 0.500
Mg 0.500 0.500 0.000
Fe 0.000 0.000 0.000
Fe 0.500 0.500 0.500
O 0.027 0.941 0.760
O 0.206 0.704 0.040
O 0.209 0.312 0.509
O 0.290 0.189 0.991
O 0.295 0.797 0.461
O 0.473 0.559 0.740
O 0.527 0.441 0.260
O 0.705 0.203 0.539
O 0.710 0.811 0.009
O 0.791 0.688 0.491
O 0.794 0.296 0.960
O 0.973 0.059 0.240

=====

# 3
For LaMgFeO3, a structure optimized by DFT (PBE+U) gives the computed powder XRD pattern in this record (CuKα).
Neutral-atom scattering factors, no anomalous dispersion.

Top 10 peaks for 2θ from 15° to 90°, low angle first:
| Position (°2θ) | I (rel.) |
| --- | --- |
| 20.1 | 55 |
| 26.7 | 42 |
| 30.3 | 100 |
| 30.4 | 22 |
| 36.6 | 20 |
| 43.4 | 31 |
| 43.5 | 61 |
| 53.9 | 20 |
| 63.1 | 29 |
| 63.2 | 19 |

Crystal structure
a = 6.779 Å, b = 5.891 Å, c = 4.509 Å
α = 90.00°, β = 100.78°, γ = 90.00°
Positions (direct):
La 0.000 0.000 0.000
La 0.500 0.500 0.000
Mg 0.125 0.500 0.375
Mg 0.625 0.000 0.375
Fe 0.333 0.000 0.666
Fe 0.833 0.500 0.666
O 0.097 0.249 0.653
O 0.097 0.751 0.653
O 0.346 0.000 0.151
O 0.597 0.251 0.653
O 0.597 0.749 0.653
O 0.846 0.500 0.151